(1)
This entry pairs a crystal structure of Tb5SnTe4 with its simulated X-ray powder pattern. Radiation: a wavelength of 1.5418 Å. Structure: a cell relaxed with GGA-PBE.
Neutral-atom scattering factors, no anomalous dispersion.

Atomic structure:
a b c (Å): 9.829 9.829 6.185
angles (deg): 90.00 90.00 90.00
Space group I4/m (No. 87)
One atom of each set of equivalent atoms:
Tb: 0.000 0.000 0.000 [2 per cell]
Tb: 0.099 0.291 0.500 [8 per cell]
Sn: 0.000 0.000 0.500 [2 per cell]
Te: 0.097 0.303 0.000 [8 per cell]

The 10 most intense peaks (5° ≤ 2θ ≤ 70°), in order of rising 2θ:
| 2θ/deg | I/Imax | hkl |
| --- | --- | --- |
| 24.85 | 4 | 2 1 1 |
| 28.72 | 100 | 1 3 0 |
| 28.87 | 50 | 0 0 2 |
| 41.07 | 38 | 4 2 0 |
| 41.18 | 76 | 1 3 2 |
| 50.98 | 41 | 4 2 2 |
| 59.48 | 13 | 2 6 0 |
| 59.81 | 6 | 0 0 4 |
| 67.41 | 34 | 2 6 2 |
| 67.68 | 17 | 1 3 4 |



(2)
This entry pairs a crystal structure of Tb4SnTe5 with its simulated X-ray powder pattern. Radiation: a wavelength of 1.5418 Å. Structure: a cell relaxed with GGA-PBE.
Neutral-atom scattering factors, no anomalous dispersion.

Atomic structure:
a b c (Å): 4.4088 4.4088 54.2785
angles (deg): 90.00 90.00 120.00
Space group R-3m (No. 166, hexagonal axes)
One atom of each set of equivalent atoms:
Tb: 0.0000 0.0000 0.0951 [6 per cell]
Tb: 0.0000 0.0000 0.2995 [6 per cell]
Sn: 0.0000 0.0000 0.5000 [3 per cell]
Te: 0.0000 0.0000 0.0000 [3 per cell]
Te: 0.0000 0.0000 0.2024 [6 per cell]
Te: 0.0000 0.0000 0.3981 [6 per cell]

The 10 most intense peaks (5° ≤ 2θ ≤ 70°), in order of rising 2θ:
| 2θ/deg | I/Imax | hkl |
| --- | --- | --- |
| 28.58 | 100 | 1 0 10 |
| 31.76 | 2 | 1 0 13 |
| 40.79 | 35 | 0 1 20 |
| 40.94 | 39 | 1 1 0 |
| 45.16 | 2 | 0 1 23 |
| 50.44 | 5 | 0 0 30 |
| 50.69 | 20 | 0 2 10 |
| 59.17 | 12 | 2 0 20 |
| 66.90 | 14 | 1 1 30 |
| 67.11 | 18 | 2 1 10 |



(3)
This entry pairs a crystal structure of Tb8Sn3Te4 with its simulated X-ray powder pattern. Radiation: a wavelength of 1.5418 Å. Structure: a cell relaxed with GGA-PBE.
Neutral-atom scattering factors, no anomalous dispersion.

Atomic structure:
a b c (Å): 12.287 12.322 8.669
angles (deg): 90.00 134.70 90.00
Space group C2/m (No. 12)
One atom of each set of equivalent atoms:
Tb: 0.000 0.246 0.000 [4 per cell]
Tb: 0.000 0.247 0.500 [4 per cell]
Tb: 0.241 0.000 0.995 [4 per cell]
Tb: 0.242 0.000 0.495 [4 per cell]
Sn: 0.000 0.000 0.500 [2 per cell]
Sn: 0.250 0.250 0.000 [4 per cell]
Te: 0.000 0.500 0.000 [2 per cell]
Te: 0.000 0.500 0.500 [2 per cell]
Te: 0.250 0.250 0.500 [4 per cell]

The 10 most intense peaks (5° ≤ 2θ ≤ 70°), in order of rising 2θ:
| 2θ/deg | I/Imax | hkl |
| --- | --- | --- |
| 29.01 | 100 | 0 4 0 |
| 41.42 | 38 | 0 4 2 |
| 41.52 | 25 | 4 4 -2 |
| 41.67 | 13 | 4 0 -4 |
| 51.29 | 14 | 4 4 0 |
| 51.56 | 14 | 4 4 -4 |
| 60.06 | 9 | 0 0 4 |
| 60.26 | 4 | 8 0 -4 |
| 68.06 | 20 | 0 4 4 |
| 68.26 | 9 | 4 0 -6 |



(4)
This entry pairs a crystal structure of Tb3Tl2Sn with its simulated X-ray powder pattern. Radiation: a wavelength of 1.5418 Å. Structure: a cell relaxed with GGA-PBE.
Neutral-atom scattering factors, no anomalous dispersion.

Atomic structure:
a b c (Å): 5.414 16.374 3.720
angles (deg): 90.00 90.00 90.00
Space group Pmmn (No. 59, origin choice 2)
One atom of each set of equivalent atoms:
Tb: 0.250 0.089 0.001 [4 per cell]
Tb: 0.250 0.750 0.998 [2 per cell]
Tl: 0.250 0.578 0.499 [4 per cell]
Sn: 0.250 0.250 0.501 [2 per cell]

The 10 most intense peaks (5° ≤ 2θ ≤ 70°), in order of rising 2θ:
| 2θ/deg | I/Imax | hkl |
| --- | --- | --- |
| 32.82 | 26 | 0 6 0 |
| 33.09 | 26 | 2 0 0 |
| 33.52 | 100 | 1 3 1 |
| 47.30 | 19 | 2 6 0 |
| 48.97 | 9 | 0 0 2 |
| 59.04 | 19 | 1 9 1 |
| 59.38 | 20 | 3 3 1 |
| 60.21 | 9 | 0 6 2 |
| 60.38 | 9 | 2 0 2 |
| 69.44 | 3 | 4 0 0 |



(5)
This entry pairs a crystal structure of Tb6TlSn2 with its simulated X-ray powder pattern. Radiation: a wavelength of 1.5418 Å. Structure: a cell relaxed with GGA-PBE.
Neutral-atom scattering factors, no anomalous dispersion.

Atomic structure:
a b c (Å): 8.3621 8.3621 4.4200
angles (deg): 90.00 90.00 120.00
Space group P-62m (No. 189)
One atom of each set of equivalent atoms:
Tb: 0.0000 0.4073 0.0000 [3 per cell]
Tb: 0.0000 0.7411 0.5000 [3 per cell]
Tl: 0.0000 0.0000 0.0000 [1 per cell]
Sn: 0.3333 0.6667 0.5000 [2 per cell]

The 10 most intense peaks (5° ≤ 2θ ≤ 70°), in order of rising 2θ:
| 2θ/deg | I/Imax | hkl |
| --- | --- | --- |
| 29.41 | 92 | 1 1 1 |
| 31.95 | 100 | 2 0 1 |
| 32.72 | 44 | 2 1 0 |
| 37.25 | 43 | 3 0 0 |
| 38.69 | 38 | 2 1 1 |
| 40.83 | 29 | 0 0 2 |
| 53.27 | 22 | 2 1 2 |
| 56.45 | 26 | 3 0 2 |
| 59.43 | 40 | 3 2 1 |
| 68.79 | 11 | 2 0 3 |



(6)
This entry pairs a crystal structure of Tb2TlSn9 with its simulated X-ray powder pattern. Radiation: a wavelength of 1.5418 Å. Structure: a cell relaxed with GGA-PBE.
Neutral-atom scattering factors, no anomalous dispersion.

Atomic structure:
a b c (Å): 4.643 4.643 15.064
angles (deg): 90.00 90.00 90.00
Space group P4/mmm (No. 123)
One atom of each set of equivalent atoms:
Tb: 0.000 0.000 0.152 [2 per cell]
Tl: 0.000 0.000 0.500 [1 per cell]
Sn: 0.000 0.500 0.000 [2 per cell]
Sn: 0.000 0.500 0.327 [4 per cell]
Sn: 0.500 0.500 0.166 [2 per cell]
Sn: 0.500 0.500 0.500 [1 per cell]

The 10 most intense peaks (5° ≤ 2θ ≤ 70°), in order of rising 2θ:
| 2θ/deg | I/Imax | hkl |
| --- | --- | --- |
| 19.12 | 2 | 1 0 0 |
| 29.67 | 2 | 0 0 5 |
| 32.59 | 100 | 1 1 3 |
| 35.76 | 18 | 0 0 6 |
| 38.79 | 32 | 2 0 0 |
| 53.78 | 23 | 2 0 6 |
| 56.02 | 11 | 2 2 0 |
| 62.26 | 14 | 1 1 9 |
| 66.33 | 27 | 3 1 3 |
| 68.27 | 12 | 2 2 6 |



(7)
This entry pairs a crystal structure of Tb6TlSn with its simulated X-ray powder pattern. Radiation: a wavelength of 1.5418 Å. Structure: a cell relaxed with GGA-PBE.
Neutral-atom scattering factors, no anomalous dispersion.

Atomic structure:
a b c (Å): 4.845 4.845 9.677
angles (deg): 90.00 90.00 90.00
Space group P4/mmm (No. 123)
One atom of each set of equivalent atoms:
Tb: 0.000 0.000 0.000 [1 per cell]
Tb: 0.000 0.000 0.500 [1 per cell]
Tb: 0.000 0.500 0.246 [4 per cell]
Tl: 0.500 0.500 0.500 [1 per cell]
Sn: 0.500 0.500 0.000 [1 per cell]

The 8 most intense peaks (5° ≤ 2θ ≤ 70°), in order of rising 2θ:
| 2θ/deg | I/Imax | hkl |
| --- | --- | --- |
| 9.14 | 1 | 0 0 1 |
| 20.50 | 1 | 1 0 1 |
| 27.63 | 1 | 0 0 3 |
| 32.01 | 100 | 1 1 2 |
| 37.13 | 50 | 2 0 0 |
| 53.52 | 35 | 2 2 0 |
| 63.73 | 42 | 3 1 2 |
| 66.93 | 12 | 2 2 4 |



(8)
This entry pairs a crystal structure of Tb3TlSn2 with its simulated X-ray powder pattern. Radiation: a wavelength of 1.5418 Å. Structure: a cell relaxed with GGA-PBE.
Neutral-atom scattering factors, no anomalous dispersion.

Atomic structure:
a b c (Å): 16.674 6.349 6.367
angles (deg): 90.00 101.49 90.00
Space group C2/c (No. 15)
One atom of each set of equivalent atoms:
Tb: 0.000 0.127 0.250 [4 per cell]
Tb: 0.172 0.385 0.599 [8 per cell]
Tl: 0.000 0.377 0.750 [4 per cell]
Sn: 0.162 0.108 0.065 [8 per cell]

The 10 most intense peaks (5° ≤ 2θ ≤ 70°), in order of rising 2θ:
| 2θ/deg | I/Imax | hkl |
| --- | --- | --- |
| 31.62 | 96 | 0 2 1 |
| 32.46 | 100 | 4 0 -2 |
| 32.70 | 86 | 2 0 2 |
| 32.89 | 87 | 6 0 0 |
| 34.47 | 72 | 2 2 1 |
| 36.98 | 63 | 4 2 -1 |
| 44.02 | 37 | 6 2 -1 |
| 48.44 | 30 | 6 2 1 |
| 51.88 | 23 | 2 2 -3 |
| 57.98 | 33 | 2 0 -4 |



(9)
This entry pairs a crystal structure of Tb8TmSn6 with its simulated X-ray powder pattern. Radiation: a wavelength of 1.5418 Å. Structure: a cell relaxed with GGA-PBE.
Neutral-atom scattering factors, no anomalous dispersion.

Atomic structure:
a b c (Å): 9.0492 9.0492 19.4956
angles (deg): 90.00 90.00 120.00
Space group R-3 (No. 148, hexagonal axes)
One atom of each set of equivalent atoms:
Tb: 0.0000 0.0000 0.1666 [6 per cell]
Tb: 0.9999 0.3341 0.6056 [18 per cell]
Tm: 0.0000 0.0000 0.5000 [3 per cell]
Sn: 0.0000 0.3314 0.4330 [18 per cell]

The 10 most intense peaks (5° ≤ 2θ ≤ 70°), in order of rising 2θ:
| 2θ/deg | I/Imax | hkl |
| --- | --- | --- |
| 19.62 | 11 | 1 1 0 |
| 23.97 | 37 | 2 -1 3 |
| 33.97 | 95 | 1 1 6 |
| 34.33 | 100 | 3 0 0 |
| 42.30 | 8 | 2 2 3 |
| 44.50 | 12 | 3 0 6 |
| 49.07 | 34 | 4 -2 6 |
| 60.55 | 18 | 2 -1 12 |
| 61.25 | 35 | 4 1 6 |
| 61.48 | 19 | 3 3 0 |



(10)
This entry pairs a crystal structure of Tb3Tm2Sn3 with its simulated X-ray powder pattern. Radiation: a wavelength of 1.5418 Å. Structure: a cell relaxed with GGA-PBE.
Neutral-atom scattering factors, no anomalous dispersion.

Atomic structure:
a b c (Å): 8.9467 8.9467 6.5115
angles (deg): 90.00 90.00 120.00
Space group P6_3/mcm (No. 193)
One atom of each set of equivalent atoms:
Tb: 0.0000 0.2389 0.2500 [6 per cell]
Tm: 0.3333 0.6667 0.0000 [4 per cell]
Sn: 0.0000 0.3969 0.7500 [6 per cell]

The 10 most intense peaks (5° ≤ 2θ ≤ 70°), in order of rising 2θ:
| 2θ/deg | I/Imax | hkl |
| --- | --- | --- |
| 27.39 | 15 | 0 0 2 |
| 29.77 | 22 | 1 0 2 |
| 30.53 | 36 | 2 1 0 |
| 33.55 | 100 | 2 1 1 |
| 34.06 | 80 | 1 1 2 |
| 34.73 | 39 | 3 0 0 |
| 49.44 | 20 | 2 2 2 |
| 52.48 | 29 | 2 1 3 |
| 55.18 | 15 | 4 0 2 |
| 66.87 | 19 | 5 0 2 |



(11)
This entry pairs a crystal structure of Tb5Tm2Sn4 with its simulated X-ray powder pattern. Radiation: a wavelength of 1.5418 Å. Structure: a cell relaxed with GGA-PBE.
Neutral-atom scattering factors, no anomalous dispersion.

Atomic structure:
a b c (Å): 25.838 3.518 7.509
angles (deg): 90.00 95.00 90.00
Space group C2/m (No. 12)
One atom of each set of equivalent atoms:
Tb: 0.000 0.000 0.000 [2 per cell]
Tb: 0.091 0.500 0.736 [4 per cell]
Tb: 0.147 0.500 0.298 [4 per cell]
Tm: 0.233 0.500 0.705 [4 per cell]
Sn: 0.031 0.500 0.346 [4 per cell]
Sn: 0.173 0.000 0.976 [4 per cell]

The 10 most intense peaks (5° ≤ 2θ ≤ 70°), in order of rising 2θ:
| 2θ/deg | I/Imax | hkl |
| --- | --- | --- |
| 25.55 | 44 | 1 1 0 |
| 28.11 | 75 | 1 1 -1 |
| 29.24 | 58 | 8 0 -1 |
| 31.21 | 80 | 8 0 1 |
| 32.51 | 100 | 5 1 -1 |
| 34.98 | 48 | 1 1 -2 |
| 35.41 | 71 | 1 1 2 |
| 36.02 | 62 | 0 0 3 |
| 38.07 | 79 | 7 1 1 |
| 51.98 | 40 | 0 2 0 |



(12)
This entry pairs a crystal structure of TbTm8Sn6 with its simulated X-ray powder pattern. Radiation: a wavelength of 1.5418 Å. Structure: a cell relaxed with GGA-PBE.
Neutral-atom scattering factors, no anomalous dispersion.

Atomic structure:
a b c (Å): 8.9180 8.9180 19.3263
angles (deg): 90.00 90.00 120.00
Space group R-3 (No. 148, hexagonal axes)
One atom of each set of equivalent atoms:
Tb: 0.0000 0.0000 0.0000 [3 per cell]
Tm: 0.0000 0.0000 0.3334 [6 per cell]
Tm: 0.0001 0.3328 0.8934 [18 per cell]
Sn: 0.0001 0.3353 0.0675 [18 per cell]

The 10 most intense peaks (5° ≤ 2θ ≤ 70°), in order of rising 2θ:
| 2θ/deg | I/Imax | hkl |
| --- | --- | --- |
| 19.91 | 11 | 1 1 0 |
| 24.28 | 40 | 1 1 3 |
| 34.35 | 96 | 2 -1 6 |
| 34.85 | 100 | 3 0 0 |
| 42.93 | 9 | 4 -2 3 |
| 45.08 | 11 | 3 0 6 |
| 49.74 | 34 | 2 2 6 |
| 61.19 | 19 | 1 1 12 |
| 62.16 | 35 | 5 -1 6 |
| 62.49 | 19 | 3 3 0 |



(13)
This entry pairs a crystal structure of TbYSn with its simulated X-ray powder pattern. Radiation: a wavelength of 1.5418 Å. Structure: a cell relaxed with GGA-PBE.
Neutral-atom scattering factors, no anomalous dispersion.

Atomic structure:
a b c (Å): 8.901 5.141 8.912
angles (deg): 90.00 109.35 90.00
Space group C2/m (No. 12)
One atom of each set of equivalent atoms:
Tb: 0.125 0.000 0.376 [4 per cell]
Y: 0.125 0.500 0.874 [4 per cell]
Sn: 0.250 0.000 0.751 [4 per cell]

The 10 most intense peaks (5° ≤ 2θ ≤ 70°), in order of rising 2θ:
| 2θ/deg | I/Imax | hkl |
| --- | --- | --- |
| 10.52 | 4 | 0 0 1 |
| 21.16 | 25 | 1 1 -1 |
| 24.48 | 15 | 1 1 1 |
| 34.89 | 100 | 2 0 2 |
| 41.16 | 14 | 2 0 -4 |
| 43.08 | 4 | 4 0 0 |
| 50.17 | 18 | 2 2 2 |
| 56.58 | 5 | 4 2 0 |
| 62.51 | 15 | 5 1 1 |
| 62.60 | 22 | 6 0 -2 |